Starting from a cell relaxed with PBE, the X-ray diffraction stick pattern of Ce2PuPaP4 was calculated for a wavelength of 1.5418 Å.
Neutral-atom scattering factors, no anomalous dispersion.

Principal peaks in the range 2θ from 10° to 90°, by intensity:
- 31.3°, 2.854 Å, I 100.0
- 27.0°, 3.297 Å, I 72.7
- 44.9°, 2.019 Å, I 49.4
- 53.2°, 1.722 Å, I 28.2
- 45.0°, 2.015 Å, I 24.6
- 27.1°, 3.290 Å, I 24.1
- 53.3°, 1.719 Å, I 20.0
- 55.8°, 1.646 Å, I 19.5
- 74.4°, 1.275 Å, I 16.9
- 74.3°, 1.277 Å, I 16.9
- 82.9°, 1.165 Å, I 12.9
- 65.4°, 1.427 Å, I 12.1

Crystal structure
```
data_Ce2PuPaP4
_chemical_formula_sum 'Ce2 Pu1 Pa1 P4'
_symmetry_space_group_name_H-M 'P 1'
_symmetry_Int_Tables_number 1
_cell_length_a 6.978
_cell_length_b 4.034
_cell_length_c 7.004
_cell_angle_alpha 90.00
_cell_angle_beta 109.46
_cell_angle_gamma 90.00
loop_
_symmetry_equiv_pos_as_xyz
'x,y,z'
loop_
_atom_site_label
_atom_site_type_symbol
_atom_site_fract_x
_atom_site_fract_y
_atom_site_fract_z
_atom_site_occupancy
Ce1 Ce 0.000 0.000 0.000 1
Ce2 Ce 0.500 0.500 0.000 1
Pu1 Pu 0.000 0.500 0.500 1
Pa1 Pa 0.500 0.000 0.500 1
P1 P 0.250 0.000 0.741 1
P2 P 0.256 0.500 0.259 1
P3 P 0.744 0.500 0.741 1
P4 P 0.750 0.000 0.259 1
```


Starting from a cell relaxed with PBE, the X-ray diffraction stick pattern of LaTbSm3Dy was calculated for a wavelength of 1.5418 Å.
Neutral-atom scattering factors, no anomalous dispersion.

Principal peaks in the range 2θ from 10° to 90°, by intensity:
- 31.0°, 2.887 Å, I 100.0
- 29.9°, 2.986 Å, I 60.8
- 29.6°, 3.019 Å, I 60.7
- 33.1°, 2.705 Å, I 51.3
- 32.8°, 2.734 Å, I 46.9
- 34.5°, 2.602 Å, I 44.6
- 44.4°, 2.041 Å, I 22.2
- 62.6°, 1.483 Å, I 17.9
- 30.5°, 2.930 Å, I 17.1
- 25.8°, 3.458 Å, I 17.0
- 26.2°, 3.400 Å, I 14.7
- 53.0°, 1.729 Å, I 14.3

Crystal structure
```
data_LaTbSm3Dy
_chemical_formula_sum 'La2 Tb2 Sm6 Dy2'
_symmetry_space_group_name_H-M 'P 1'
_symmetry_Int_Tables_number 1
_cell_length_a 10.604
_cell_length_b 10.604
_cell_length_c 6.917
_cell_angle_alpha 90.94
_cell_angle_beta 90.94
_cell_angle_gamma 31.60
loop_
_symmetry_equiv_pos_as_xyz
'x,y,z'
loop_
_atom_site_label
_atom_site_type_symbol
_atom_site_fract_x
_atom_site_fract_y
_atom_site_fract_z
_atom_site_occupancy
La1 La 0.145 0.145 0.026 1
La2 La 0.855 0.855 0.974 1
Tb1 Tb 0.145 0.145 0.469 1
Tb2 Tb 0.855 0.855 0.531 1
Sm1 Sm 0.020 0.020 0.744 1
Sm2 Sm 0.280 0.280 0.746 1
Sm3 Sm 0.340 0.340 0.263 1
Sm4 Sm 0.660 0.660 0.737 1
Sm5 Sm 0.720 0.720 0.254 1
Sm6 Sm 0.980 0.980 0.256 1
Dy1 Dy 0.444 0.444 0.734 1
Dy2 Dy 0.556 0.556 0.266 1
```


Starting from a cell relaxed with PBE, the X-ray diffraction stick pattern of CaLa3Tc was calculated for a wavelength of 1.5418 Å.
Neutral-atom scattering factors, no anomalous dispersion.

Principal peaks in the range 2θ from 10° to 90°, by intensity:
- 31.7°, 2.822 Å, I 100.0
- 27.4°, 3.259 Å, I 88.9
- 45.5°, 1.996 Å, I 70.0
- 15.7°, 5.644 Å, I 69.8
- 53.9°, 1.702 Å, I 46.8
- 35.6°, 2.524 Å, I 36.2
- 75.3°, 1.262 Å, I 27.2
- 56.5°, 1.629 Å, I 23.4
- 73.1°, 1.295 Å, I 20.4
- 48.4°, 1.881 Å, I 18.1
- 84.0°, 1.152 Å, I 16.8
- 66.2°, 1.411 Å, I 10.2

Crystal structure
```
data_CaLa3Tc
_chemical_formula_sum 'Ca3 La9 Tc3'
_symmetry_space_group_name_H-M 'P 1'
_symmetry_Int_Tables_number 1
_cell_length_a 7.985
_cell_length_b 7.985
_cell_length_c 9.768
_cell_angle_alpha 90.00
_cell_angle_beta 90.00
_cell_angle_gamma 120.00
loop_
_symmetry_equiv_pos_as_xyz
'x,y,z'
loop_
_atom_site_label
_atom_site_type_symbol
_atom_site_fract_x
_atom_site_fract_y
_atom_site_fract_z
_atom_site_occupancy
Ca1 Ca 0.000 0.000 0.000 1
Ca2 Ca 0.333 0.667 0.667 1
Ca3 Ca 0.667 0.333 0.333 1
La1 La 0.168 0.336 0.322 1
La2 La 0.168 0.832 0.322 1
La3 La 0.331 0.165 0.656 1
La4 La 0.501 0.002 0.989 1
La5 La 0.501 0.499 0.989 1
La6 La 0.664 0.832 0.322 1
La7 La 0.835 0.165 0.656 1
La8 La 0.835 0.669 0.656 1
La9 La 0.998 0.499 0.989 1
Tc1 Tc 0.000 0.000 0.447 1
Tc2 Tc 0.333 0.667 0.113 1
Tc3 Tc 0.667 0.333 0.780 1
```


Starting from a cell relaxed with PBE, the X-ray diffraction stick pattern of CaAl3Au2 was calculated for a wavelength of 1.5418 Å.
Neutral-atom scattering factors, no anomalous dispersion.

Principal peaks in the range 2θ from 10° to 90°, by intensity:
- 25.9°, 3.446 Å, I 100.0
- 26.8°, 3.331 Å, I 85.4
- 43.0°, 2.102 Å, I 81.4
- 44.4°, 2.040 Å, I 77.3
- 23.9°, 3.730 Å, I 70.3
- 27.3°, 3.270 Å, I 54.4
- 29.5°, 3.024 Å, I 48.0
- 21.8°, 4.069 Å, I 47.3
- 35.0°, 2.566 Å, I 45.6
- 33.9°, 2.647 Å, I 38.5
- 23.0°, 3.866 Å, I 37.8
- 50.9°, 1.794 Å, I 32.9

Crystal structure
```
data_CaAl3Au2
_chemical_formula_sum 'Ca3 Al9 Au6'
_symmetry_space_group_name_H-M 'P 1'
_symmetry_Int_Tables_number 1
_cell_length_a 8.781
_cell_length_b 8.781
_cell_length_c 10.420
_cell_angle_alpha 106.28
_cell_angle_beta 106.28
_cell_angle_gamma 27.68
loop_
_symmetry_equiv_pos_as_xyz
'x,y,z'
loop_
_atom_site_label
_atom_site_type_symbol
_atom_site_fract_x
_atom_site_fract_y
_atom_site_fract_z
_atom_site_occupancy
Ca1 Ca 0.000 0.000 0.000 1
Ca2 Ca 0.156 0.156 0.703 1
Ca3 Ca 0.844 0.844 0.297 1
Al1 Al 0.041 0.041 0.358 1
Al2 Al 0.213 0.213 0.386 1
Al3 Al 0.327 0.327 0.034 1
Al4 Al 0.373 0.373 0.799 1
Al5 Al 0.500 0.500 0.500 1
Al6 Al 0.627 0.627 0.201 1
Al7 Al 0.673 0.673 0.966 1
Al8 Al 0.787 0.787 0.614 1
Al9 Al 0.959 0.959 0.642 1
Au1 Au 0.200 0.200 0.129 1
Au2 Au 0.357 0.357 0.540 1
Au3 Au 0.471 0.471 0.214 1
Au4 Au 0.529 0.529 0.786 1
Au5 Au 0.643 0.643 0.460 1
Au6 Au 0.800 0.800 0.871 1
```


Starting from a cell relaxed with PBE, the X-ray diffraction stick pattern of Ti8V2Fe was calculated for a wavelength of 1.5418 Å.
Neutral-atom scattering factors, no anomalous dispersion.

Principal peaks in the range 2θ from 10° to 90°, by intensity:
- 40.0°, 2.254 Å, I 100.0
- 38.4°, 2.342 Å, I 52.4
- 42.0°, 2.153 Å, I 50.6
- 44.1°, 2.052 Å, I 31.7
- 39.1°, 2.304 Å, I 30.4
- 39.7°, 2.272 Å, I 15.4
- 34.7°, 2.583 Å, I 12.9
- 75.3°, 1.262 Å, I 12.9
- 47.6°, 1.911 Å, I 12.2
- 47.1°, 1.929 Å, I 12.0
- 65.3°, 1.429 Å, I 9.1
- 59.1°, 1.563 Å, I 8.5

Crystal structure
```
data_Ti8V2Fe
_chemical_formula_sum 'Ti8 V2 Fe1'
_symmetry_space_group_name_H-M 'P 1'
_symmetry_Int_Tables_number 1
_cell_length_a 7.434
_cell_length_b 7.434
_cell_length_c 5.958
_cell_angle_alpha 105.94
_cell_angle_beta 105.94
_cell_angle_gamma 33.68
loop_
_symmetry_equiv_pos_as_xyz
'x,y,z'
loop_
_atom_site_label
_atom_site_type_symbol
_atom_site_fract_x
_atom_site_fract_y
_atom_site_fract_z
_atom_site_occupancy
Ti1 Ti 0.021 0.021 0.265 1
Ti2 Ti 0.179 0.179 0.728 1
Ti3 Ti 0.343 0.343 0.577 1
Ti4 Ti 0.395 0.395 0.062 1
Ti5 Ti 0.605 0.605 0.938 1
Ti6 Ti 0.657 0.657 0.423 1
Ti7 Ti 0.821 0.821 0.272 1
Ti8 Ti 0.979 0.979 0.735 1
V1 V 0.198 0.198 0.173 1
V2 V 0.802 0.802 0.827 1
Fe1 Fe 0.500 0.500 0.500 1
```


Starting from a cell relaxed with PBE, the X-ray diffraction stick pattern of BaCdI4 was calculated for a wavelength of 1.5418 Å.
Neutral-atom scattering factors, no anomalous dispersion.

Principal peaks in the range 2θ from 10° to 90°, by intensity:
- 15.7°, 5.633 Å, I 100.0
- 31.0°, 2.880 Å, I 89.3
- 38.6°, 2.334 Å, I 74.1
- 25.4°, 3.506 Å, I 66.9
- 19.8°, 4.480 Å, I 51.4
- 24.1°, 3.694 Å, I 50.2
- 31.8°, 2.817 Å, I 39.1
- 28.5°, 3.134 Å, I 35.3
- 44.9°, 2.017 Å, I 27.9
- 61.1°, 1.516 Å, I 26.0
- 48.5°, 1.878 Å, I 24.4
- 66.0°, 1.416 Å, I 18.5

Crystal structure
```
data_BaCdI4
_chemical_formula_sum 'Ba2 Cd2 I8'
_symmetry_space_group_name_H-M 'P 1'
_symmetry_Int_Tables_number 1
_cell_length_a 9.350
_cell_length_b 9.350
_cell_length_c 9.350
_cell_angle_alpha 105.90
_cell_angle_beta 105.90
_cell_angle_gamma 116.87
loop_
_symmetry_equiv_pos_as_xyz
'x,y,z'
loop_
_atom_site_label
_atom_site_type_symbol
_atom_site_fract_x
_atom_site_fract_y
_atom_site_fract_z
_atom_site_occupancy
Ba1 Ba 0.375 0.625 0.750 1
Ba2 Ba 0.625 0.375 0.250 1
Cd1 Cd 0.125 0.875 0.250 1
Cd2 Cd 0.875 0.125 0.750 1
I1 I 0.115 0.680 0.435 1
I2 I 0.255 0.320 0.935 1
I3 I 0.320 0.255 0.435 1
I4 I 0.320 0.885 0.065 1
I5 I 0.680 0.115 0.935 1
I6 I 0.680 0.745 0.565 1
I7 I 0.745 0.680 0.065 1
I8 I 0.885 0.320 0.565 1
```


Starting from a cell relaxed with PBE, the X-ray diffraction stick pattern of Rb2HfBrCl5 was calculated for a wavelength of 1.5418 Å.
Neutral-atom scattering factors, no anomalous dispersion.

Principal peaks in the range 2θ from 10° to 90°, by intensity:
- 14.6°, 6.080 Å, I 100.0
- 23.9°, 3.722 Å, I 83.7
- 34.1°, 2.628 Å, I 58.4
- 48.9°, 1.863 Å, I 39.7
- 29.4°, 3.040 Å, I 32.6
- 28.1°, 3.171 Å, I 30.8
- 33.9°, 2.641 Å, I 29.9
- 61.0°, 1.520 Å, I 19.7
- 49.0°, 1.859 Å, I 19.5
- 42.0°, 2.153 Å, I 19.3
- 42.1°, 2.148 Å, I 18.8
- 28.0°, 3.182 Å, I 18.3

Crystal structure
```
data_Rb2HfBrCl5
_chemical_formula_sum 'Rb2 Hf1 Br1 Cl5'
_symmetry_space_group_name_H-M 'P 1'
_symmetry_Int_Tables_number 1
_cell_length_a 7.452
_cell_length_b 7.452
_cell_length_c 7.452
_cell_angle_alpha 120.16
_cell_angle_beta 120.16
_cell_angle_gamma 89.72
loop_
_symmetry_equiv_pos_as_xyz
'x,y,z'
loop_
_atom_site_label
_atom_site_type_symbol
_atom_site_fract_x
_atom_site_fract_y
_atom_site_fract_z
_atom_site_occupancy
Rb1 Rb 0.000 0.500 0.500 1
Rb2 Rb 0.500 0.000 0.500 1
Hf1 Hf 0.251 0.251 0.000 1
Br1 Br 0.001 0.001 0.000 1
Cl1 Cl 0.015 0.015 0.532 1
Cl2 Cl 0.015 0.483 0.000 1
Cl3 Cl 0.483 0.015 0.000 1
Cl4 Cl 0.483 0.483 0.468 1
Cl5 Cl 0.484 0.484 0.000 1
```


Starting from a cell relaxed with PBE, the X-ray diffraction stick pattern of Pr4PuSn15 was calculated for a wavelength of 1.5418 Å.
Neutral-atom scattering factors, no anomalous dispersion.

Principal peaks in the range 2θ from 10° to 90°, by intensity:
- 32.5°, 2.751 Å, I 100.0
- 37.9°, 2.373 Å, I 33.5
- 65.1°, 1.432 Å, I 28.3
- 54.3°, 1.689 Å, I 23.5
- 37.4°, 2.404 Å, I 17.2
- 64.4°, 1.446 Å, I 13.7
- 89.5°, 1.095 Å, I 12.3
- 68.2°, 1.376 Å, I 12.2
- 54.7°, 1.678 Å, I 11.9
- 81.1°, 1.186 Å, I 4.0
- 79.8°, 1.202 Å, I 1.8
- 18.7°, 4.745 Å, I 1.1

Crystal structure
```
data_Pr4PuSn15
_chemical_formula_sum 'Pr4 Pu1 Sn15'
_symmetry_space_group_name_H-M 'P 1'
_symmetry_Int_Tables_number 1
_cell_length_a 4.743
_cell_length_b 24.036
_cell_length_c 4.748
_cell_angle_alpha 90.00
_cell_angle_beta 90.00
_cell_angle_gamma 90.00
loop_
_symmetry_equiv_pos_as_xyz
'x,y,z'
loop_
_atom_site_label
_atom_site_type_symbol
_atom_site_fract_x
_atom_site_fract_y
_atom_site_fract_z
_atom_site_occupancy
Pr1 Pr 0.000 0.101 0.000 1
Pr2 Pr 0.000 0.304 0.999 1
Pr3 Pr 0.000 0.696 0.999 1
Pr4 Pr 0.000 0.899 0.000 1
Pu1 Pu 0.000 0.500 0.998 1
Sn1 Sn 0.000 0.000 0.500 1
Sn2 Sn 0.000 0.202 0.500 1
Sn3 Sn 0.000 0.404 0.498 1
Sn4 Sn 0.000 0.596 0.498 1
Sn5 Sn 0.000 0.798 0.500 1
Sn6 Sn 0.500 0.000 0.000 1
Sn7 Sn 0.500 0.101 0.500 1
Sn8 Sn 0.500 0.202 0.000 1
Sn9 Sn 0.500 0.303 0.499 1
Sn10 Sn 0.500 0.404 0.998 1
Sn11 Sn 0.500 0.500 0.498 1
Sn12 Sn 0.500 0.596 0.998 1
Sn13 Sn 0.500 0.697 0.499 1
Sn14 Sn 0.500 0.798 0.000 1
Sn15 Sn 0.500 0.899 0.500 1
```


Starting from a cell relaxed with PBE, the X-ray diffraction stick pattern of Th4Ga12Cu was calculated for a wavelength of 1.5418 Å.
Neutral-atom scattering factors, no anomalous dispersion.

Principal peaks in the range 2θ from 10° to 90°, by intensity:
- 35.0°, 2.562 Å, I 100.0
- 40.7°, 2.219 Å, I 57.5
- 28.4°, 3.138 Å, I 50.7
- 58.9°, 1.569 Å, I 34.3
- 70.4°, 1.338 Å, I 32.1
- 20.0°, 4.438 Å, I 27.5
- 45.7°, 1.985 Å, I 20.3
- 50.4°, 1.812 Å, I 16.4
- 66.6°, 1.403 Å, I 14.4
- 81.1°, 1.186 Å, I 13.6
- 62.8°, 1.479 Å, I 11.8
- 74.0°, 1.281 Å, I 10.2

Crystal structure
```
data_Th4Ga12Cu
_chemical_formula_sum 'Th4 Ga12 Cu1'
_symmetry_space_group_name_H-M 'P 1'
_symmetry_Int_Tables_number 1
_cell_length_a 7.686
_cell_length_b 7.686
_cell_length_c 7.686
_cell_angle_alpha 109.47
_cell_angle_beta 109.47
_cell_angle_gamma 109.47
loop_
_symmetry_equiv_pos_as_xyz
'x,y,z'
loop_
_atom_site_label
_atom_site_type_symbol
_atom_site_fract_x
_atom_site_fract_y
_atom_site_fract_z
_atom_site_occupancy
Th1 Th 0.000 0.000 0.500 1
Th2 Th 0.000 0.500 0.000 1
Th3 Th 0.500 0.000 0.000 1
Th4 Th 0.500 0.500 0.500 1
Ga1 Ga 0.000 0.300 0.300 1
Ga2 Ga 0.000 0.700 0.700 1
Ga3 Ga 0.250 0.500 0.750 1
Ga4 Ga 0.250 0.750 0.500 1
Ga5 Ga 0.300 0.000 0.300 1
Ga6 Ga 0.300 0.300 0.000 1
Ga7 Ga 0.500 0.250 0.750 1
Ga8 Ga 0.500 0.750 0.250 1
Ga9 Ga 0.700 0.000 0.700 1
Ga10 Ga 0.700 0.700 0.000 1
Ga11 Ga 0.750 0.250 0.500 1
Ga12 Ga 0.750 0.500 0.250 1
Cu1 Cu 0.000 0.000 0.000 1
```


Starting from a cell relaxed with PBE, the X-ray diffraction stick pattern of Zr2NiHW was calculated for a wavelength of 1.5418 Å.
Neutral-atom scattering factors, no anomalous dispersion.

Principal peaks in the range 2θ from 10° to 90°, by intensity:
- 38.2°, 2.359 Å, I 100.0
- 38.8°, 2.324 Å, I 48.5
- 69.8°, 1.348 Å, I 32.9
- 19.1°, 4.647 Å, I 19.2
- 68.6°, 1.369 Å, I 17.4
- 56.0°, 1.643 Å, I 16.3
- 32.7°, 2.737 Å, I 11.1
- 81.6°, 1.179 Å, I 10.7
- 54.2°, 1.694 Å, I 9.0
- 51.6°, 1.771 Å, I 6.5
- 83.1°, 1.162 Å, I 5.1
- 43.5°, 2.078 Å, I 5.0

Crystal structure
```
data_Zr2NiHW
_chemical_formula_sum 'Zr2 Ni1 H1 W1'
_symmetry_space_group_name_H-M 'P 1'
_symmetry_Int_Tables_number 1
_cell_length_a 4.647
_cell_length_b 4.647
_cell_length_c 3.387
_cell_angle_alpha 90.00
_cell_angle_beta 90.00
_cell_angle_gamma 90.00
loop_
_symmetry_equiv_pos_as_xyz
'x,y,z'
loop_
_atom_site_label
_atom_site_type_symbol
_atom_site_fract_x
_atom_site_fract_y
_atom_site_fract_z
_atom_site_occupancy
Zr1 Zr 0.000 0.500 0.000 1
Zr2 Zr 0.500 0.000 0.000 1
Ni1 Ni 0.000 0.000 0.500 1
H1 H 0.000 0.000 0.000 1
W1 W 0.500 0.500 0.500 1
```


Starting from a cell relaxed with PBE, the X-ray diffraction stick pattern of MgI2O10 was calculated for a wavelength of 1.5418 Å.
Neutral-atom scattering factors, no anomalous dispersion.

Principal peaks in the range 2θ from 10° to 90°, by intensity:
- 19.8°, 4.479 Å, I 100.0
- 20.7°, 4.292 Å, I 50.6
- 26.7°, 3.341 Å, I 46.0
- 26.9°, 3.318 Å, I 44.5
- 20.5°, 4.342 Å, I 44.4
- 23.2°, 3.829 Å, I 42.4
- 28.7°, 3.109 Å, I 41.5
- 37.4°, 2.405 Å, I 36.3
- 22.4°, 3.962 Å, I 32.9
- 30.9°, 2.894 Å, I 29.2
- 10.2°, 8.683 Å, I 28.7
- 45.2°, 2.005 Å, I 22.5

Crystal structure
```
data_MgI2O10
_chemical_formula_sum 'Mg2 I4 O20'
_symmetry_space_group_name_H-M 'P 1'
_symmetry_Int_Tables_number 1
_cell_length_a 8.684
_cell_length_b 5.231
_cell_length_c 8.585
_cell_angle_alpha 90.00
_cell_angle_beta 90.70
_cell_angle_gamma 90.00
loop_
_symmetry_equiv_pos_as_xyz
'x,y,z'
loop_
_atom_site_label
_atom_site_type_symbol
_atom_site_fract_x
_atom_site_fract_y
_atom_site_fract_z
_atom_site_occupancy
Mg1 Mg 0.000 0.000 0.000 1
Mg2 Mg 0.000 0.500 0.500 1
I1 I 0.324 0.185 0.567 1
I2 I 0.324 0.315 0.067 1
I3 I 0.676 0.685 0.933 1
I4 I 0.676 0.815 0.433 1
O1 O 0.116 0.169 0.530 1
O2 O 0.116 0.331 0.030 1
O3 O 0.161 0.679 0.324 1
O4 O 0.161 0.821 0.824 1
O5 O 0.198 0.591 0.636 1
O6 O 0.198 0.909 0.136 1
O7 O 0.338 0.108 0.777 1
O8 O 0.338 0.392 0.277 1
O9 O 0.360 0.645 0.991 1
O10 O 0.360 0.855 0.491 1
O11 O 0.640 0.145 0.509 1
O12 O 0.640 0.355 0.009 1
O13 O 0.662 0.608 0.723 1
O14 O 0.662 0.892 0.223 1
O15 O 0.802 0.091 0.864 1
O16 O 0.802 0.409 0.364 1
O17 O 0.839 0.179 0.176 1
O18 O 0.839 0.321 0.676 1
O19 O 0.884 0.669 0.970 1
O20 O 0.884 0.831 0.470 1
```


Starting from a cell relaxed with PBE, the X-ray diffraction stick pattern of CsOsO4 was calculated for a wavelength of 1.5418 Å.
Neutral-atom scattering factors, no anomalous dispersion.

Principal peaks in the range 2θ from 10° to 90°, by intensity:
- 24.1°, 3.698 Å, I 100.0
- 19.7°, 4.504 Å, I 26.6
- 18.9°, 4.693 Å, I 24.9
- 34.0°, 2.633 Å, I 23.3
- 21.5°, 4.133 Å, I 22.9
- 27.5°, 3.239 Å, I 19.8
- 46.6°, 1.947 Å, I 14.1
- 35.2°, 2.549 Å, I 14.1
- 34.5°, 2.601 Å, I 12.2
- 40.0°, 2.252 Å, I 11.4
- 55.8°, 1.647 Å, I 11.2
- 64.6°, 1.443 Å, I 10.9

Crystal structure
```
data_CsOsO4
_chemical_formula_sum 'Cs2 Os2 O8'
_symmetry_space_group_name_H-M 'P 1'
_symmetry_Int_Tables_number 1
_cell_length_a 10.404
_cell_length_b 5.547
_cell_length_c 5.547
_cell_angle_alpha 108.56
_cell_angle_beta 90.00
_cell_angle_gamma 90.00
loop_
_symmetry_equiv_pos_as_xyz
'x,y,z'
loop_
_atom_site_label
_atom_site_type_symbol
_atom_site_fract_x
_atom_site_fract_y
_atom_site_fract_z
_atom_site_occupancy
Cs1 Cs 0.000 0.000 0.000 1
Cs2 Cs 0.500 0.000 0.000 1
Os1 Os 0.250 0.548 0.383 1
Os2 Os 0.750 0.383 0.548 1
O1 O 0.102 0.604 0.254 1
O2 O 0.250 0.215 0.322 1
O3 O 0.250 0.752 0.701 1
O4 O 0.398 0.604 0.254 1
O5 O 0.602 0.254 0.604 1
O6 O 0.750 0.322 0.215 1
O7 O 0.750 0.701 0.752 1
O8 O 0.898 0.254 0.604 1
```


Q: Which formula does entry 11 have?
A: MgI2O10